Record 1
The following is a simulated X-ray diffraction stick pattern of Nd4Hg3Ge. It was derived from a DFT-relaxed cell (GGA-PBE, Alexandria), using Cu Kα (λ = 1.5418 Å).
Kinematic intensities with the Lorentz-polarization factor, no thermal factor.

Structure:
a = 5.3786 Å, b = 5.3786 Å, c = 26.2926 Å
α = 90.00°, β = 90.00°, γ = 120.00°
Space group R-3m (No. 166, hexagonal axes)
Unique sites:
Nd 0.0000 0.0000 0.1181 (multiplicity 6)
Nd 0.0000 0.0000 0.3697 (multiplicity 6)
Hg 0.0000 0.0000 0.2410 (multiplicity 6)
Hg 0.0000 0.0000 0.5000 (multiplicity 3)
Ge 0.0000 0.0000 0.0000 (multiplicity 3)

Largest 10 diffraction maxima, low angle first, 2θ from 10° to 90°:
- hkl 0 0 3, 2θ = 10.09°, rel. 3
- hkl 1 0 7, 2θ = 30.58°, rel. 7
- hkl 1 1 0, 2θ = 33.34°, rel. 100
- hkl 2 0 8, 2θ = 47.87°, rel. 17
- hkl 3 0 0, 2θ = 59.56°, rel. 28
- hkl 1 0 16, 2θ = 59.67°, rel. 6
- hkl 1 1 15, 2θ = 63.34°, rel. 6
- hkl 2 2 0, 2θ = 69.97°, rel. 6
- hkl 0 2 16, 2θ = 70.08°, rel. 4
- hkl 3 1 8, 2θ = 79.79°, rel. 13


Record 2
The following is a simulated X-ray diffraction stick pattern of Nd5HgGe2. It was derived from a DFT-relaxed cell (GGA-PBE, Alexandria), using Cu Kα (λ = 1.5418 Å).
Kinematic intensities with the Lorentz-polarization factor, no thermal factor.

Structure:
a = 7.9244 Å, b = 7.9244 Å, c = 14.7107 Å
α = 90.00°, β = 90.00°, γ = 90.00°
Space group I4/mcm (No. 140)
Unique sites:
Nd 0.0000 0.0000 0.0000 (multiplicity 4)
Nd 0.1701 0.3299 0.1414 (multiplicity 16)
Hg 0.0000 0.0000 0.2500 (multiplicity 4)
Ge 0.1289 0.3711 0.5000 (multiplicity 8)

Largest 10 diffraction maxima, low angle first, 2θ from 10° to 90°:
- hkl 2 1 1, 2θ = 25.86°, rel. 17
- hkl 1 1 4, 2θ = 29.04°, rel. 39
- hkl 2 1 3, 2θ = 31.14°, rel. 100
- hkl 2 2 0, 2θ = 31.94°, rel. 26
- hkl 2 0 4, 2θ = 33.24°, rel. 68
- hkl 3 1 0, 2θ = 35.83°, rel. 71
- hkl 4 1 3, 2θ = 51.04°, rel. 18
- hkl 3 3 4, 2θ = 55.15°, rel. 27
- hkl 3 1 8, 2θ = 62.67°, rel. 21
- hkl 5 1 4, 2θ = 65.17°, rel. 16


Record 3
The following is a simulated X-ray diffraction stick pattern of Ni2HgGe. It was derived from a DFT-relaxed cell (GGA-PBE, Alexandria), using Cu Kα (λ = 1.5418 Å).
Kinematic intensities with the Lorentz-polarization factor, no thermal factor.

Structure:
a = 4.0297 Å, b = 4.0297 Å, c = 8.8390 Å
α = 90.00°, β = 90.00°, γ = 120.00°
Space group P3m1 (No. 156)
Unique sites:
Ni 0.0000 0.0000 0.0000 (multiplicity 1)
Ni 0.0000 0.0000 0.2880 (multiplicity 1)
Ni 0.3333 0.6667 0.4225 (multiplicity 1)
Ni 0.6667 0.3333 0.1381 (multiplicity 1)
Hg 0.0000 0.0000 0.6304 (multiplicity 1)
Hg 0.6667 0.3333 0.8320 (multiplicity 1)
Ge 0.3333 0.6667 0.1136 (multiplicity 1)
Ge 0.6667 0.3333 0.4074 (multiplicity 1)

Largest 10 diffraction maxima, low angle first, 2θ from 10° to 90°:
- hkl 1 0 0, 2θ = 25.52°, rel. 22
- hkl 1 0 1, 2θ = 27.48°, rel. 44
- hkl 1 0 2, 2θ = 32.70°, rel. 63
- hkl 0 1 3, 2θ = 40.05°, rel. 100
- hkl 1 1 0, 2θ = 44.99°, rel. 83
- hkl 0 2 2, 2θ = 56.72°, rel. 14
- hkl 2 0 3, 2θ = 61.79°, rel. 27
- hkl 1 1 4, 2θ = 62.37°, rel. 16
- hkl 1 2 3, 2θ = 79.64°, rel. 26
- hkl 3 0 0, 2θ = 83.01°, rel. 14


Record 4
The following is a simulated X-ray diffraction stick pattern of TlNiHg2Ge. It was derived from a DFT-relaxed cell (GGA-PBE, Alexandria), using Cu Kα (λ = 1.5418 Å).
Kinematic intensities with the Lorentz-polarization factor, no thermal factor.

Structure:
a = 5.5907 Å, b = 5.5907 Å, c = 5.4331 Å
α = 90.00°, β = 90.00°, γ = 90.00°
Space group P4/mmm (No. 123)
Unique sites:
Tl 0.0000 0.0000 0.0000 (multiplicity 1)
Ni 0.5000 0.5000 0.5000 (multiplicity 1)
Hg 0.0000 0.5000 0.0000 (multiplicity 2)
Ge 0.0000 0.0000 0.5000 (multiplicity 1)

Largest 10 diffraction maxima, low angle first, 2θ from 10° to 90°:
- hkl 1 0 0, 2θ = 15.85°, rel. 43
- hkl 0 0 1, 2θ = 16.31°, rel. 93
- hkl 1 0 1, 2θ = 22.82°, rel. 30
- hkl 1 1 1, 2θ = 27.91°, rel. 61
- hkl 2 0 0, 2θ = 32.02°, rel. 100
- hkl 0 0 2, 2θ = 32.97°, rel. 46
- hkl 2 0 1, 2θ = 36.14°, rel. 56
- hkl 2 2 0, 2θ = 45.91°, rel. 37
- hkl 2 0 2, 2θ = 46.62°, rel. 71
- hkl 2 2 2, 2θ = 57.68°, rel. 38


Record 5
The following is a simulated X-ray diffraction stick pattern of Hg2GeO4. It was derived from a DFT-relaxed cell (GGA-PBE, Alexandria), using Cu Kα (λ = 1.5418 Å).
Kinematic intensities with the Lorentz-polarization factor, no thermal factor.

Structure:
a = 11.6337 Å, b = 11.6352 Å, c = 10.0369 Å
α = 90.00°, β = 90.00°, γ = 90.00°
Space group Ccce (No. 68, origin choice 2)
Unique sites:
Hg 0.0000 0.0886 0.2500 (multiplicity 8)
Hg 0.1614 0.2500 0.7500 (multiplicity 8)
Ge 0.2500 0.0000 0.2504 (multiplicity 8)
O 0.1521 0.0917 0.6621 (multiplicity 16)
O 0.1582 0.0979 0.3384 (multiplicity 16)

Largest 10 diffraction maxima, low angle first, 2θ from 10° to 90°:
- hkl 0 0 2, 2θ = 17.67°, rel. 86
- hkl 3 1 1, 2θ = 25.79°, rel. 100
- hkl 4 2 0, 2θ = 34.48°, rel. 20
- hkl 0 0 4, 2θ = 35.79°, rel. 11
- hkl 3 1 3, 2θ = 36.29°, rel. 42
- hkl 4 2 2, 2θ = 39.00°, rel. 29
- hkl 5 3 1, 2θ = 46.40°, rel. 17
- hkl 4 2 4, 2θ = 50.54°, rel. 16
- hkl 3 1 5, 2θ = 51.89°, rel. 16
- hkl 7 3 1, 2θ = 61.39°, rel. 11


Record 6
The following is a simulated X-ray diffraction stick pattern of HgGeO3. It was derived from a DFT-relaxed cell (GGA-PBE, Alexandria), using Cu Kα (λ = 1.5418 Å).
Kinematic intensities with the Lorentz-polarization factor, no thermal factor.

Structure:
a = 2.8918 Å, b = 14.4894 Å, c = 6.1062 Å
α = 90.00°, β = 90.00°, γ = 90.00°
Space group Cmc2_1 (No. 36)
Unique sites:
Hg 0.0000 0.0768 0.0000 (multiplicity 4)
Ge 0.0000 0.3361 0.9868 (multiplicity 4)
O 0.0000 0.1099 0.6579 (multiplicity 4)
O 0.0000 0.2385 0.3967 (multiplicity 4)
O 0.0000 0.4311 0.7899 (multiplicity 4)

Largest 10 diffraction maxima, low angle first, 2θ from 10° to 90°:
- hkl 0 2 0, 2θ = 12.22°, rel. 31
- hkl 0 2 1, 2θ = 19.01°, rel. 28
- hkl 0 4 1, 2θ = 28.65°, rel. 100
- hkl 0 0 2, 2θ = 29.25°, rel. 52
- hkl 1 1 0, 2θ = 31.55°, rel. 24
- hkl 1 1 1, 2θ = 34.88°, rel. 39
- hkl 1 3 1, 2θ = 39.19°, rel. 67
- hkl 1 1 2, 2θ = 43.56°, rel. 24
- hkl 0 4 3, 2θ = 51.50°, rel. 23
- hkl 1 7 2, 2θ = 63.07°, rel. 23


Record 7
The following is a simulated X-ray diffraction stick pattern of Pm4HgGeO. It was derived from a DFT-relaxed cell (GGA-PBE, Alexandria), using Cu Kα (λ = 1.5418 Å).
Kinematic intensities with the Lorentz-polarization factor, no thermal factor.

Structure:
a = 6.6804 Å, b = 16.1495 Å, c = 6.6905 Å
α = 90.00°, β = 90.00°, γ = 90.00°
Space group Cmcm (No. 63)
Unique sites:
Pm 0.0000 0.0716 0.2500 (multiplicity 4)
Pm 0.0000 0.4242 0.2500 (multiplicity 4)
Pm 0.2500 0.2500 0.0000 (multiplicity 8)
Hg 0.0000 0.3868 0.7500 (multiplicity 4)
Ge 0.0000 0.1148 0.7500 (multiplicity 4)
O 0.0000 0.2542 0.2500 (multiplicity 4)

Largest 10 diffraction maxima, low angle first, 2θ from 10° to 90°:
- hkl 2 0 0, 2θ = 26.67°, rel. 22
- hkl 2 2 0, 2θ = 28.91°, rel. 100
- hkl 0 6 0, 2θ = 33.29°, rel. 35
- hkl 1 5 1, 2θ = 33.60°, rel. 34
- hkl 2 4 0, 2θ = 34.84°, rel. 98
- hkl 2 0 2, 2θ = 38.07°, rel. 77
- hkl 2 6 2, 2θ = 51.45°, rel. 41
- hkl 4 0 0, 2θ = 54.94°, rel. 27
- hkl 4 2 2, 2θ = 63.26°, rel. 22
- hkl 4 4 2, 2θ = 66.72°, rel. 42


Record 8
The following is a simulated X-ray diffraction stick pattern of TmHgGeO4. It was derived from a DFT-relaxed cell (GGA-PBE, Alexandria), using Cu Kα (λ = 1.5418 Å).
Kinematic intensities with the Lorentz-polarization factor, no thermal factor.

Structure:
a = 11.6589 Å, b = 6.1657 Å, c = 6.8267 Å
α = 90.00°, β = 102.60°, γ = 90.00°
Space group C2/m (No. 12)
Unique sites:
Tm 0.2041 0.0000 0.3578 (multiplicity 4)
Hg 0.1085 0.5000 0.9888 (multiplicity 4)
Ge 0.1268 0.0000 0.7622 (multiplicity 4)
O 0.0213 0.0000 0.2454 (multiplicity 4)
O 0.1814 0.2148 0.6316 (multiplicity 8)
O 0.2086 0.0000 0.0200 (multiplicity 4)

Largest 10 diffraction maxima, low angle first, 2θ from 10° to 90°:
- hkl 2 0 0, 2θ = 15.58°, rel. 27
- hkl 1 1 1, 2θ = 22.19°, rel. 100
- hkl 0 2 0, 2θ = 28.96°, rel. 79
- hkl 1 1 -2, 2θ = 29.99°, rel. 97
- hkl 4 0 -1, 2θ = 31.40°, rel. 40
- hkl 3 1 1, 2θ = 32.99°, rel. 52
- hkl 3 1 -2, 2θ = 34.91°, rel. 34
- hkl 0 0 3, 2θ = 40.63°, rel. 25
- hkl 5 1 0, 2θ = 42.34°, rel. 34
- hkl 4 2 -1, 2θ = 43.24°, rel. 43


Record 9
The following is a simulated X-ray diffraction stick pattern of Hg2GeOs. It was derived from a DFT-relaxed cell (GGA-PBE, Alexandria), using Cu Kα (λ = 1.5418 Å).
Kinematic intensities with the Lorentz-polarization factor, no thermal factor.

Structure:
a = 10.4808 Å, b = 10.4808 Å, c = 4.7134 Å
α = 90.00°, β = 90.00°, γ = 90.00°
Space group I-42d (No. 122)
Unique sites:
Hg 0.0009 0.2500 0.1250 (multiplicity 8)
Ge 0.0000 0.0000 0.5000 (multiplicity 4)
Os 0.0000 0.0000 0.0000 (multiplicity 4)

Largest 10 diffraction maxima, low angle first, 2θ from 10° to 90°:
- hkl 2 0 0, 2θ = 16.92°, rel. 72
- hkl 1 0 1, 2θ = 20.66°, rel. 100
- hkl 2 1 1, 2θ = 26.82°, rel. 21
- hkl 3 0 1, 2θ = 31.89°, rel. 35
- hkl 4 0 0, 2θ = 34.22°, rel. 82
- hkl 4 1 1, 2θ = 40.31°, rel. 37
- hkl 2 0 2, 2θ = 42.04°, rel. 35
- hkl 5 0 1, 2θ = 47.47°, rel. 36
- hkl 4 4 0, 2θ = 49.18°, rel. 30
- hkl 4 2 2, 2θ = 55.28°, rel. 31


Record 10
The following is a simulated X-ray diffraction stick pattern of TcHgGeOsW. It was derived from a DFT-relaxed cell (GGA-PBE, Alexandria), using Cu Kα (λ = 1.5418 Å).
Kinematic intensities with the Lorentz-polarization factor, no thermal factor.

Structure:
a = 3.1345 Å, b = 3.1345 Å, c = 17.2506 Å
α = 90.00°, β = 90.00°, γ = 90.00°
Space group I4mm (No. 107)
Unique sites:
Tc 0.0000 0.0000 0.0000 (multiplicity 2)
Hg 0.0000 0.0000 0.2001 (multiplicity 2)
Ge 0.0000 0.0000 0.5738 (multiplicity 2)
Os 0.0000 0.0000 0.8192 (multiplicity 2)
W 0.0000 0.0000 0.4010 (multiplicity 2)

Largest 10 diffraction maxima, low angle first, 2θ from 10° to 90°:
- hkl 0 0 2, 2θ = 10.26°, rel. 29
- hkl 1 0 3, 2θ = 32.53°, rel. 14
- hkl 1 0 5, 2θ = 38.82°, rel. 100
- hkl 1 1 0, 2θ = 40.71°, rel. 51
- hkl 1 0 7, 2θ = 46.90°, rel. 7
- hkl 2 0 0, 2θ = 58.93°, rel. 17
- hkl 1 0 11, 2θ = 66.69°, rel. 7
- hkl 1 1 10, 2θ = 68.98°, rel. 16
- hkl 2 1 5, 2θ = 72.83°, rel. 32
- hkl 2 0 10, 2θ = 83.30°, rel. 7


Record 11
The following is a simulated X-ray diffraction stick pattern of TcHgGeOsW. It was derived from a DFT-relaxed cell (GGA-PBE, Alexandria), using Cu Kα (λ = 1.5418 Å).
Kinematic intensities with the Lorentz-polarization factor, no thermal factor.

Structure:
a = 5.0469 Å, b = 2.9174 Å, c = 11.6300 Å
α = 90.00°, β = 98.38°, γ = 90.00°
Space group Cm (No. 8)
Unique sites:
Tc 0.0000 0.0000 0.0000 (multiplicity 2)
Hg 0.1963 0.0000 0.5867 (multiplicity 2)
Ge 0.2751 0.0000 0.8272 (multiplicity 2)
Os 0.4570 0.0000 0.3683 (multiplicity 2)
W 0.2294 0.5000 0.1887 (multiplicity 2)

Largest 10 diffraction maxima, low angle first, 2θ from 10° to 90°:
- hkl 1 1 1, 2θ = 37.10°, rel. 100
- hkl 0 0 5, 2θ = 39.15°, rel. 34
- hkl 2 0 -3, 2θ = 40.12°, rel. 49
- hkl 2 0 2, 2θ = 41.43°, rel. 21
- hkl 1 1 -4, 2θ = 46.14°, rel. 72
- hkl 1 1 6, 2θ = 63.04°, rel. 11
- hkl 0 2 0, 2θ = 63.85°, rel. 32
- hkl 2 0 -8, 2θ = 70.69°, rel. 13
- hkl 0 2 5, 2θ = 77.48°, rel. 19
- hkl 4 0 -5, 2θ = 82.33°, rel. 14


Record 12
The following is a simulated X-ray diffraction stick pattern of HgGe5P4. It was derived from a DFT-relaxed cell (GGA-PBE, Alexandria), using Cu Kα (λ = 1.5418 Å).
Kinematic intensities with the Lorentz-polarization factor, no thermal factor.

Structure:
a = 7.7275 Å, b = 10.8076 Å, c = 5.2437 Å
α = 90.00°, β = 90.00°, γ = 90.00°
Space group Pmmn (No. 59, origin choice 2)
Unique sites:
Hg 0.2500 0.2500 0.1701 (multiplicity 2)
Ge 0.0095 0.5588 0.2945 (multiplicity 8)
Ge 0.2500 0.7500 0.8221 (multiplicity 2)
P 0.0166 0.7500 0.5100 (multiplicity 4)
P 0.2500 0.0090 0.9769 (multiplicity 4)

Largest 10 diffraction maxima, low angle first, 2θ from 10° to 90°:
- hkl 2 2 0, 2θ = 28.40°, rel. 62
- hkl 2 0 1, 2θ = 28.70°, rel. 49
- hkl 2 1 1, 2θ = 29.89°, rel. 92
- hkl 0 3 1, 2θ = 30.10°, rel. 100
- hkl 0 4 0, 2θ = 33.16°, rel. 30
- hkl 2 2 2, 2θ = 45.03°, rel. 53
- hkl 4 0 0, 2θ = 47.03°, rel. 28
- hkl 2 3 2, 2θ = 49.01°, rel. 29
- hkl 2 5 1, 2θ = 51.48°, rel. 46
- hkl 4 3 1, 2θ = 56.86°, rel. 32